For Sm2Ge5Pt3, a structure optimized by DFT (PBE) gives the theoretical XRD peak list in this record (Cu Kα, 1.54184 Å).

Largest 10 diffraction maxima, in order of falling intensity, 2θ from 15° to 90°:
33.33°, d = 2.688 Å, I 100.0, (2 0 2)
41.72°, d = 2.165 Å, I 58.7, (0 4 2)
34.89°, d = 2.572 Å, I 32.1, (2 4 0)
53.33°, d = 1.718 Å, I 16.6, (3 2 3)
24.08°, d = 3.696 Å, I 16.1, (1 3 0)
30.53°, d = 2.928 Å, I 15.6, (1 1 2)
55.53°, d = 1.655 Å, I 14.1, (3 6 1)
58.39°, d = 1.580 Å, I 14.0, (0 0 4)
45.51°, d = 1.993 Å, I 13.9, (4 0 2)
49.08°, d = 1.856 Å, I 13.8, (5 2 1)

Structure:
```
data_Sm2Ge5Pt3
_symmetry_space_group_name_H-M 'I b a m'
_symmetry_Int_Tables_number 72
_symmetry_space_group_name_Hall '-I 2 2c'
_cell_length_a 10.272
_cell_length_b 11.885
_cell_length_c 6.322
_cell_angle_alpha 90.00
_cell_angle_beta 90.00
_cell_angle_gamma 90.00
loop_
_atom_site_label
_atom_site_fract_x
_atom_site_fract_y
_atom_site_fract_z
Sm1 0.230 0.131 0.000
Ge1 0.000 0.000 0.250
Ge2 0.000 0.272 0.250
Ge3 0.155 0.395 0.000
Pt1 0.000 0.500 0.250
Pt2 0.111 0.139 0.500
```

For Sm3Ge13Pt4, a structure optimized by DFT (PBE) gives the theoretical XRD peak list in this record (Cu Kα, 1.54184 Å).

Largest 10 diffraction maxima, in order of falling intensity, 2θ from 15° to 90°:
35.35°, d = 2.539 Å, I 100.0, (5 1 0)
33.87°, d = 2.647 Å, I 71.0, (0 4 2)
39.38°, d = 2.288 Å, I 70.6, (4 4 0)
19.40°, d = 4.577 Å, I 53.1, (2 2 0)
35.13°, d = 2.555 Å, I 51.0, (3 3 -2)
48.80°, d = 1.866 Å, I 37.9, (2 6 2)
44.27°, d = 2.046 Å, I 37.7, (6 2 0)
27.56°, d = 3.236 Å, I 37.0, (4 0 0)
39.11°, d = 2.303 Å, I 36.6, (0 0 4)
33.99°, d = 2.637 Å, I 35.2, (4 0 2)

Structure:
```
data_Sm3Ge13Pt4
_symmetry_space_group_name_H-M 'C 1 c 1'
_symmetry_Int_Tables_number 9
_cell_length_a 12.954
_cell_length_b 12.936
_cell_length_c 9.213
_cell_angle_alpha 90.00
_cell_angle_beta 90.56
_cell_angle_gamma 90.00
loop_
_symmetry_equiv_pos_as_xyz
'x,y,z'
'x,-y,z+1/2'
'x+1/2,y+1/2,z'
'x+1/2,-y+1/2,z+1/2'
loop_
_atom_site_label
_atom_site_fract_x
_atom_site_fract_y
_atom_site_fract_z
Sm1 0.000 0.000 0.000
Sm2 0.121 0.378 0.249
Sm3 0.377 0.124 0.245
Ge1 0.079 0.426 0.915
Ge2 0.117 0.380 0.636
Ge3 0.164 0.165 0.396
Ge4 0.166 0.167 0.096
Ge5 0.182 0.069 0.746
Ge6 0.249 0.254 0.747
Ge7 0.305 0.309 0.006
Ge8 0.310 0.305 0.481
Ge9 0.340 0.489 0.253
Ge10 0.411 0.086 0.601
Ge11 0.415 0.084 0.905
Ge12 0.451 0.328 0.747
Ge13 0.495 0.339 0.249
Pt1 0.000 0.251 0.999
Pt2 0.246 0.001 0.495
Pt3 0.252 0.498 0.504
Pt4 0.499 0.249 0.998
```

For SrGePt, a structure optimized by DFT (PBE) gives the theoretical XRD peak list in this record (Cu Kα, 1.54184 Å).

Largest 10 diffraction maxima, in order of falling intensity, 2θ from 15° to 90°:
32.78°, d = 2.732 Å, I 100.0, (2 1 1)
29.85°, d = 2.993 Å, I 88.0, (2 0 1)
51.07°, d = 1.789 Å, I 68.9, (3 2 1)
18.75°, d = 4.732 Å, I 46.5, (1 1 0)
56.72°, d = 1.623 Å, I 33.6, (4 0 1)
40.44°, d = 2.231 Å, I 33.4, (2 2 1)
23.02°, d = 3.864 Å, I 30.9, (1 1 1)
76.69°, d = 1.243 Å, I 23.0, (5 0 2)
42.73°, d = 2.116 Å, I 20.8, (3 1 0)
44.92°, d = 2.018 Å, I 15.9, (3 1 1)

Structure:
```
data_SrGePt
_symmetry_space_group_name_H-M 'P 21 3'
_symmetry_Int_Tables_number 198
_symmetry_space_group_name_Hall 'P 2ac 2ab 3'
_cell_length_a 6.692
_cell_length_b 6.692
_cell_length_c 6.692
_cell_angle_alpha 90.00
_cell_angle_beta 90.00
_cell_angle_gamma 90.00
loop_
_atom_site_label
_atom_site_fract_x
_atom_site_fract_y
_atom_site_fract_z
Sr1 0.136 0.136 0.136
Ge1 0.165 0.335 0.665
Pt1 0.083 0.583 0.917
```

For Tb2Ge3Pt9, a structure optimized by DFT (PBE) gives the theoretical XRD peak list in this record (Cu Kα, 1.54184 Å).

Largest 10 diffraction maxima, in order of falling intensity, 2θ from 15° to 90°:
39.78°, d = 2.266 Å, I 100.0, (6 0 -2)
37.53°, d = 2.397 Å, I 52.7, (3 1 -4)
37.76°, d = 2.383 Å, I 51.8, (3 1 2)
37.62°, d = 2.391 Å, I 51.8, (0 2 3)
70.64°, d = 1.333 Å, I 34.9, (3 5 -4)
35.07°, d = 2.558 Å, I 20.9, (4 2 -1)
37.38°, d = 2.406 Å, I 17.7, (5 1 -3)
46.25°, d = 1.963 Å, I 17.7, (0 4 0)
38.71°, d = 2.326 Å, I 14.7, (4 2 -3)
70.82°, d = 1.331 Å, I 12.9, (3 5 2)

Structure:
```
data_Tb2Ge3Pt9
_symmetry_space_group_name_H-M 'C 1 2/c 1'
_symmetry_Int_Tables_number 15
_cell_length_a 13.582
_cell_length_b 7.858
_cell_length_c 10.139
_cell_angle_alpha 90.00
_cell_angle_beta 116.93
_cell_angle_gamma 90.00
loop_
_symmetry_equiv_pos_as_xyz
'x,y,z'
'-x,-y,-z'
'-x,y,-z+1/2'
'x,-y,z+1/2'
'x+1/2,y+1/2,z'
'-x+1/2,-y+1/2,-z'
'-x+1/2,y+1/2,-z+1/2'
'x+1/2,-y+1/2,z+1/2'
loop_
_atom_site_label
_atom_site_fract_x
_atom_site_fract_y
_atom_site_fract_z
Tb1 0.170 0.085 0.251
Ge1 0.090 0.229 0.497
Ge2 0.250 0.250 0.000
Pt1 0.000 0.367 0.250
Pt2 0.059 0.082 0.922
Pt3 0.105 0.309 0.742
Pt4 0.112 0.410 0.077
Pt5 0.223 0.418 0.420
```

For TbGe2Pt, a structure optimized by DFT (PBE) gives the theoretical XRD peak list in this record (Cu Kα, 1.54184 Å).

Largest 10 diffraction maxima, in order of falling intensity, 2θ from 15° to 90°:
33.24°, d = 2.695 Å, I 100.0, (1 2 3)
34.10°, d = 2.629 Å, I 41.2, (1 0 5)
38.65°, d = 2.330 Å, I 40.0, (0 2 6)
41.46°, d = 2.178 Å, I 34.6, (2 0 0)
41.12°, d = 2.195 Å, I 18.4, (0 4 0)
49.36°, d = 1.846 Å, I 17.8, (1 4 3)
70.39°, d = 1.338 Å, I 17.5, (3 2 3)
69.94°, d = 1.345 Å, I 16.8, (1 6 3)
57.97°, d = 1.591 Å, I 16.7, (2 2 6)
20.23°, d = 4.390 Å, I 16.3, (0 2 0)

Structure:
```
data_TbGe2Pt
_symmetry_space_group_name_H-M 'I m m m'
_symmetry_Int_Tables_number 71
_symmetry_space_group_name_Hall '-I 2 2'
_cell_length_a 4.356
_cell_length_b 8.780
_cell_length_c 16.490
_cell_angle_alpha 90.00
_cell_angle_beta 90.00
_cell_angle_gamma 90.00
loop_
_atom_site_label
_atom_site_fract_x
_atom_site_fract_y
_atom_site_fract_z
Tb1 0.000 0.000 0.202
Tb2 0.000 0.239 0.000
Ge1 0.000 0.000 0.426
Ge2 0.000 0.350 0.200
Ge3 0.000 0.500 0.426
Pt1 0.000 0.249 0.352
```

For TbGe2Pt2, a structure optimized by DFT (PBE) gives the theoretical XRD peak list in this record (Cu Kα, 1.54184 Å).

Largest 10 diffraction maxima, in order of falling intensity, 2θ from 15° to 90°:
34.33°, d = 2.613 Å, I 100.0, (1 2 1)
33.88°, d = 2.646 Å, I 63.0, (1 3 0)
41.59°, d = 2.171 Å, I 38.3, (2 0 0)
41.88°, d = 2.157 Å, I 35.2, (0 0 2)
46.84°, d = 1.940 Å, I 31.1, (1 4 1)
30.54°, d = 2.927 Å, I 29.2, (1 1 1)
50.12°, d = 1.820 Å, I 27.6, (1 5 0)
60.50°, d = 1.530 Å, I 23.9, (2 0 2)
54.71°, d = 1.678 Å, I 16.8, (2 3 1)
63.39°, d = 1.467 Å, I 16.4, (1 6 1)

Structure:
```
data_TbGe2Pt2
_symmetry_space_group_name_H-M 'P m n 21'
_symmetry_Int_Tables_number 31
_cell_length_a 4.343
_cell_length_b 10.029
_cell_length_c 4.314
_cell_angle_alpha 90.00
_cell_angle_beta 90.00
_cell_angle_gamma 90.00
loop_
_symmetry_equiv_pos_as_xyz
'x,y,z'
'-x+1/2,-y,z+1/2'
'-x,y,z'
'x+1/2,-y,z+1/2'
loop_
_atom_site_label
_atom_site_fract_x
_atom_site_fract_y
_atom_site_fract_z
Tb1 0.000 0.248 0.000
Ge1 0.000 0.002 0.518
Ge2 0.000 0.633 0.976
Pt1 0.000 0.501 0.475
Pt2 0.000 0.875 0.019
```

For Tb2Ge6Pt, a structure optimized by DFT (PBE) gives the theoretical XRD peak list in this record (Cu Kα, 1.54184 Å).

Largest 10 diffraction maxima, in order of falling intensity, 2θ from 15° to 90°:
33.14°, d = 2.703 Å, I 100.0, (1 1 3)
32.61°, d = 2.746 Å, I 26.2, (1 0 6)
43.90°, d = 2.063 Å, I 23.5, (2 0 0)
44.22°, d = 2.048 Å, I 23.0, (0 2 0)
42.97°, d = 2.105 Å, I 21.5, (0 1 9)
42.28°, d = 2.137 Å, I 19.9, (1 1 7)
64.07°, d = 1.453 Å, I 15.1, (2 2 0)
63.11°, d = 1.473 Å, I 14.2, (2 1 9)
16.06°, d = 5.520 Å, I 12.1, (0 0 4)
56.01°, d = 1.642 Å, I 11.3, (1 2 6)

Structure:
```
data_Tb2Ge6Pt
_symmetry_space_group_name_H-M 'A m m 2'
_symmetry_Int_Tables_number 38
_cell_length_a 4.125
_cell_length_b 4.096
_cell_length_c 22.079
_cell_angle_alpha 90.00
_cell_angle_beta 90.00
_cell_angle_gamma 90.00
loop_
_symmetry_equiv_pos_as_xyz
'x,y,z'
'-x,-y,z'
'-x,y,z'
'x,-y,z'
'x,y+1/2,z+1/2'
'-x,-y+1/2,z+1/2'
'-x,y+1/2,z+1/2'
'x,-y+1/2,z+1/2'
loop_
_atom_site_label
_atom_site_fract_x
_atom_site_fract_y
_atom_site_fract_z
Tb1 0.000 0.000 0.000
Tb2 0.000 0.000 0.339
Ge1 0.000 0.000 0.602
Ge2 0.000 0.000 0.716
Ge3 0.500 0.000 0.101
Ge4 0.500 0.000 0.215
Ge5 0.500 0.000 0.461
Ge6 0.500 0.000 0.891
Pt1 0.500 0.000 0.781
```

For ThGe2Pt2, a structure optimized by DFT (PBE) gives the theoretical XRD peak list in this record (Cu Kα, 1.54184 Å).

Largest 10 diffraction maxima, in order of falling intensity, 2θ from 15° to 90°:
33.84°, d = 2.649 Å, I 100.0, (1 1 2)
40.89°, d = 2.207 Å, I 46.3, (2 0 0)
33.67°, d = 2.662 Å, I 29.3, (1 0 3)
69.97°, d = 1.345 Å, I 25.3, (3 1 2)
63.19°, d = 1.472 Å, I 16.4, (1 1 6)
59.20°, d = 1.561 Å, I 15.8, (2 2 0)
53.97°, d = 1.699 Å, I 15.5, (2 1 3)
55.51°, d = 1.655 Å, I 14.2, (2 0 4)
35.88°, d = 2.503 Å, I 12.0, (0 0 4)
46.51°, d = 1.953 Å, I 10.7, (1 1 4)

Structure:
```
data_ThGe2Pt2
_symmetry_space_group_name_H-M 'I 4/m m m'
_symmetry_Int_Tables_number 139
_symmetry_space_group_name_Hall '-I 4 2'
_cell_length_a 4.414
_cell_length_b 4.414
_cell_length_c 10.012
_cell_angle_alpha 90.00
_cell_angle_beta 90.00
_cell_angle_gamma 90.00
loop_
_atom_site_label
_atom_site_fract_x
_atom_site_fract_y
_atom_site_fract_z
Th1 0.000 0.000 0.000
Ge1 0.000 0.000 0.376
Pt1 0.000 0.500 0.250
```